Entry 1:
Theoretical powder XRD pattern of LaDy3Y8 for Cu Kα X-rays, from a cell relaxed with GGA-PBE.

Crystal structure
```
LaDy3Y8
1.0
6.3259 -5.6945 0.0000
6.3259 5.6945 0.0000
-3.1669 0.0000 5.4838
La Dy Y
1 3 8
direct
0.0000 0.0000 0.0000 La
0.2517 0.7491 0.3292 Dy
0.4999 0.4999 0.0004 Dy
0.7491 0.2517 0.3292 Dy
0.0865 0.5824 0.6656 Y
0.1676 0.1676 0.6661 Y
0.3359 0.3359 0.3327 Y
0.4188 0.9136 0.9974 Y
0.5824 0.0865 0.6656 Y
0.6638 0.6638 0.6611 Y
0.8325 0.8325 0.3306 Y
0.9136 0.4188 0.9974 Y
```

Principal peaks in the range 10° ≤ 2θ ≤ 80°, by intensity:
- 32.37°, I 100
- 31.42°, I 24
- 28.20°, I 24
- 60.18°, I 22
- 56.54°, I 20
- 49.92°, I 19
- 60.75°, I 16
- 42.72°, I 15
- 78.74°, I 7
- 16.18°, I 6
- 22.51°, I 5
- 67.75°, I 4

---

Entry 2:
Theoretical powder XRD pattern of LaDy6Y2 for Cu Kα X-rays, from a cell relaxed with GGA-PBE.

Crystal structure
```
LaDy6Y2
1.0
3.5959 0.0000 0.0000
-1.7980 3.1142 0.0000
0.0000 0.0000 26.3792
La Dy Y
1 6 2
direct
0.0000 0.0000 0.0000 La
0.0000 0.0000 0.2206 Dy
0.0000 0.0000 0.4355 Dy
0.0000 0.0000 0.5645 Dy
0.0000 0.0000 0.7794 Dy
0.3333 0.6667 0.1143 Dy
0.3333 0.6667 0.8857 Dy
0.3333 0.6667 0.3297 Y
0.3333 0.6667 0.6703 Y
```

Principal peaks in the range 10° ≤ 2θ ≤ 80°, by intensity:
- 33.41°, I 100
- 31.78°, I 72
- 28.67°, I 53
- 30.50°, I 53
- 60.40°, I 46
- 50.78°, I 39
- 42.35°, I 34
- 57.14°, I 29
- 62.16°, I 17
- 61.16°, I 11
- 79.92°, I 11
- 28.87°, I 11

---

Entry 3:
Theoretical powder XRD pattern of La7Dy2Y for Cu Kα X-rays, from a cell relaxed with GGA-PBE.

Crystal structure
```
La7Dy2Y
1.0
6.1013 -8.5624 0.0000
6.1013 8.5624 0.0000
0.0000 0.0000 3.5501
La Dy Y
7 2 1
direct
0.0000 0.0000 0.0000 La
0.1155 0.3747 0.0000 La
0.1802 0.8198 0.5000 La
0.3747 0.1155 0.0000 La
0.6253 0.8845 0.0000 La
0.8198 0.1802 0.5000 La
0.8845 0.6253 0.0000 La
0.3343 0.6657 0.0000 Dy
0.6657 0.3343 0.0000 Dy
0.5000 0.5000 0.5000 Y
```

Principal peaks in the range 10° ≤ 2θ ≤ 80°, by intensity:
- 30.55°, I 100
- 29.28°, I 81
- 37.12°, I 69
- 25.42°, I 39
- 20.75°, I 29
- 31.34°, I 28
- 34.70°, I 27
- 25.08°, I 26
- 47.96°, I 25
- 32.77°, I 25
- 43.42°, I 23
- 36.01°, I 22

---

Entry 4:
Theoretical powder XRD pattern of La8Dy3Y2 for Cu Kα X-rays, from a cell relaxed with GGA-PBE.

Crystal structure
```
La8Dy3Y2
1.0
6.8298 -5.9318 0.0000
6.8298 5.9318 0.0000
-2.3652 0.0000 5.6888
La Dy Y
8 3 2
direct
0.0852 0.0852 0.2346 La
0.0997 0.5797 0.8512 La
0.3613 0.3613 0.3896 La
0.4203 0.9003 0.1488 La
0.5797 0.0997 0.8512 La
0.6387 0.6387 0.6104 La
0.9003 0.4203 0.1488 La
0.9148 0.9148 0.7654 La
0.2269 0.7731 0.5000 Dy
0.5000 0.5000 0.0000 Dy
0.7731 0.2269 0.5000 Dy
0.1882 0.1882 0.8165 Y
0.8118 0.8118 0.1835 Y
```

Principal peaks in the range 10° ≤ 2θ ≤ 80°, by intensity:
- 30.59°, I 100
- 29.06°, I 76
- 30.13°, I 54
- 31.85°, I 24
- 30.39°, I 21
- 53.44°, I 20
- 42.36°, I 19
- 53.80°, I 17
- 37.34°, I 15
- 24.78°, I 13
- 38.57°, I 12
- 63.68°, I 11

---

Entry 5:
Theoretical powder XRD pattern of La2DyY6 for Cu Kα X-rays, from a cell relaxed with GGA-PBE.

Crystal structure
```
La2DyY6
1.0
-4.9618 8.5998 3.5002
4.9618 -8.5998 3.5002
4.9618 8.5998 -3.5002
La Dy Y
4 2 12
direct
0.0833 0.2500 0.8333 La
0.4167 0.2500 0.1667 La
0.5833 0.7500 0.8333 La
0.9167 0.7500 0.1667 La
0.2500 0.7500 0.5000 Dy
0.7500 0.2500 0.5000 Dy
0.0008 0.8304 0.8313 Y
0.1642 0.3348 0.4990 Y
0.1659 0.6651 0.8310 Y
0.3341 0.1651 0.4993 Y
0.3358 0.8348 0.1706 Y
0.4992 0.3304 0.8296 Y
0.5008 0.6696 0.1704 Y
0.6642 0.1652 0.8294 Y
0.6659 0.8349 0.5007 Y
0.8341 0.3349 0.1690 Y
0.8358 0.6652 0.5010 Y
0.9992 0.1696 0.1687 Y
```

Principal peaks in the range 10° ≤ 2θ ≤ 80°, by intensity:
- 31.24°, I 100
- 55.57°, I 29
- 44.77°, I 19
- 62.15°, I 13
- 73.99°, I 8
- 79.77°, I 6
- 65.10°, I 6
- 17.87°, I 5
- 52.27°, I 4
- 36.20°, I 1
- 48.53°, I 1
- 40.69°, I 1

---

Entry 6:
Theoretical powder XRD pattern of La3DyY3 for Cu Kα X-rays, from a cell relaxed with GGA-PBE.

Crystal structure
```
La3DyY3
1.0
4.7515 2.7433 6.2750
-4.7515 2.7433 6.2750
0.0000 -5.4865 6.2750
La Dy Y
6 2 6
direct
0.1296 0.2673 0.8332 La
0.1668 0.8704 0.7327 La
0.2673 0.8332 0.1296 La
0.7327 0.1668 0.8704 La
0.8332 0.1296 0.2673 La
0.8704 0.7327 0.1668 La
0.4084 0.4084 0.4084 Dy
0.5916 0.5916 0.5916 Dy
0.0230 0.3107 0.4442 Y
0.3107 0.4442 0.0230 Y
0.4442 0.0230 0.3107 Y
0.5558 0.9770 0.6893 Y
0.6893 0.5558 0.9770 Y
0.9770 0.6893 0.5558 Y
```

Principal peaks in the range 10° ≤ 2θ ≤ 80°, by intensity:
- 29.10°, I 100
- 37.51°, I 66
- 28.45°, I 45
- 34.56°, I 38
- 59.29°, I 33
- 50.84°, I 29
- 30.26°, I 22
- 44.54°, I 18
- 61.88°, I 16
- 57.20°, I 15
- 64.86°, I 13
- 59.65°, I 13